Theoretical powder XRD pattern
Compound: BaRe2SnO8
Radiation: Cu Kα
Structure: the GGA-PBE geometry in Alexandria

Structure:
abc: 6.0978 6.0978 19.2539
angles: 90.00 90.00 120.00
Space group R-3 (No. 148, hexagonal axes)
Inequivalent atoms, fractional coordinates:
Ba  0.0000  0.0000  0.0000
Re  0.0000  0.0000  0.2325
Sn  0.0000  0.0000  0.5000
O  0.0000  0.0000  0.1397
O  0.0108  0.5616  0.9247

Most intense lines, 10° ≤ 2θ ≤ 90°, by intensity:
2θ/deg  intensity  h k l
25.0  100  1 0 4
29.3  80  1 1 0
49.4  31  2 1 4
38.9  28  0 2 4
41.2  24  0 1 8
51.9  18  3 0 0
60.2  15  3 -2 8
66.8  14  4 -3 4
60.8  13  2 2 0
19.2  11  0 1 2